For Ho4In5Ag2, a structure optimized by DFT (PBE) gives the computed X-ray diffraction stick pattern in this record (Cu Kα (λ = 1.5418 Å)).
Lines closer than 0.1° are merged.

Cell and atoms:
a = 7.766 Å, b = 3.521 Å, c = 10.051 Å
α = 90.00°, β = 94.48°, γ = 90.00°
Space group P2/m (No. 10)
Inequivalent atoms, fractional coordinates:
Ho (0.173, 0.000, 0.380) x2
Ho (0.260, 0.000, 0.941) x2
In (0.182, 0.500, 0.660) x2
In (0.443, 0.500, 0.193) x2
In (0.500, 0.500, 0.500) x1
Ag (0.066, 0.500, 0.135) x2

Peak list (10 most intense, 5° ≤ 2θ ≤ 70°, low angle first)
- d = 2.740 Å, rel. 67
- d = 2.661 Å, rel. 66
- d = 2.605 Å, rel. 55
- d = 2.548 Å, rel. 43
- d = 2.489 Å, rel. 33
- d = 2.438 Å, rel. 100
- d = 2.362 Å, rel. 35
- d = 1.760 Å, rel. 28
- d = 1.653 Å, rel. 34
- d = 1.427 Å, rel. 37